Record 1
# BaAcCuSe4
Calculated XRD peak list, Cu Kα (λ = 1.5418 Å). Input: a structure optimized by DFT (PBE).
Kinematic intensities with the Lorentz-polarization factor, no thermal factor.

Principal peaks in the range 10° ≤ 2θ ≤ 90°, by intensity:
2.270 Å, intensity 100; 2.290 Å, intensity 62; 2.650 Å, intensity 58; 2.630 Å, intensity 56; 3.661 Å, intensity 52; 3.094 Å, intensity 50

Atomic structure:
Cell: 9.8267 9.8267 6.3857 Å, 90.00 90.00 141.64°
Atoms (fractional coordinates):
Ba 0.1084 0.8916 0.7500
Ba 0.8916 0.1084 0.2500
Ac 0.3967 0.6033 0.7500
Ac 0.6033 0.3967 0.2500
Cu 0.1983 0.8017 0.2500
Cu 0.8017 0.1983 0.7500
Se 0.0000 0.5000 0.0000
Se 0.0000 0.5000 0.5000
Se 0.0700 0.9300 0.2500
Se 0.4354 0.5646 0.2500
Se 0.5000 0.0000 0.0000
Se 0.5000 0.0000 0.5000
Se 0.5646 0.4354 0.7500
Se 0.9300 0.0700 0.7500


Record 2
# BaAcDyO4
Calculated XRD peak list, Cu Kα (λ = 1.5418 Å). Input: a structure optimized by DFT (PBE).
Kinematic intensities with the Lorentz-polarization factor, no thermal factor.

Principal peaks in the range 10° ≤ 2θ ≤ 90°, by intensity:
3.116 Å, intensity 100; 3.127 Å, intensity 35; 3.092 Å, intensity 34; 2.199 Å, intensity 33; 1.803 Å, intensity 28; 2.270 Å, intensity 22

Atomic structure:
Cell: 7.3097 7.3097 6.2545 Å, 90.00 90.00 129.96°
Atoms (fractional coordinates):
Ba 0.1032 0.8968 0.7500
Ba 0.8968 0.1032 0.2500
Ac 0.3877 0.6123 0.7500
Ac 0.6123 0.3877 0.2500
Dy 0.2508 0.7492 0.2500
Dy 0.7492 0.2508 0.7500
O 0.0000 0.5000 0.0000
O 0.0000 0.5000 0.5000
O 0.0839 0.9161 0.2500
O 0.4355 0.5645 0.2500
O 0.5000 0.0000 0.0000
O 0.5000 0.0000 0.5000
O 0.5645 0.4355 0.7500
O 0.9161 0.0839 0.7500


Record 3
# BaAcEr
Calculated XRD peak list, Cu Kα (λ = 1.5418 Å). Input: a structure optimized by DFT (PBE).
Kinematic intensities with the Lorentz-polarization factor, no thermal factor.

Principal peaks in the range 10° ≤ 2θ ≤ 90°, by intensity:
3.230 Å, intensity 100; 2.808 Å, intensity 37; 1.692 Å, intensity 31; 1.974 Å, intensity 21; 2.777 Å, intensity 14; 1.986 Å, intensity 14

Atomic structure:
Cell: 8.7904 8.7904 8.7904 Å, 153.89 153.89 37.26°
Atoms (fractional coordinates):
Ba 0.0000 0.0000 0.0000
Ac 0.3110 0.3110 0.0000
Er 0.6707 0.6707 0.0000